Entry 1:
Calculated PXRD pattern
Compound: YHoCo
Radiation: a wavelength of 1.5418 Å
Structure: DFT lattice parameters and positions (PBE)
Lines closer than 0.1° are merged.

Crystal structure
abc: 3.853 3.853 6.207
angles: 90.00 90.00 120.00
Sites, in units of the cell vectors:
Y: 0.000 0.000 0.000
Ho: 0.333 0.667 0.466
Co: 0.667 0.333 0.237

The 10 most intense peaks (10 to 80 degrees two-theta), by intensity:
2θ/deg, I/Imax
30.4, 100.0
39.7, 38.4
47.2, 28.5
14.3, 26.1
52.0, 23.9
57.2, 16.5
77.2, 13.5
28.8, 13.0
56.2, 12.2
26.7, 10.6

=====

Entry 2:
Calculated PXRD pattern
Compound: Y3HoCo2
Radiation: a wavelength of 1.5418 Å
Structure: DFT lattice parameters and positions (PBE)
Lines closer than 0.1° are merged.

Crystal structure
abc: 8.440 8.440 11.569
angles: 122.82 122.82 25.68
Sites, in units of the cell vectors:
Y: 0.083 0.083 0.439
Y: 0.083 0.083 0.941
Y: 0.341 0.341 0.254
Y: 0.659 0.659 0.746
Y: 0.917 0.917 0.059
Y: 0.917 0.917 0.561
Ho: 0.339 0.339 0.751
Ho: 0.661 0.661 0.249
Co: 0.266 0.266 0.453
Co: 0.266 0.266 0.954
Co: 0.734 0.734 0.046
Co: 0.734 0.734 0.547

The 10 most intense peaks (10 to 80 degrees two-theta), by intensity:
2θ/deg, I/Imax
33.1, 100.0
29.9, 71.8
30.9, 71.5
12.9, 66.0
32.8, 65.9
36.3, 41.0
31.4, 40.0
41.2, 38.9
48.5, 38.1
42.0, 37.7

=====

Entry 3:
Calculated PXRD pattern
Compound: Ho12Zn6Co
Radiation: a wavelength of 1.5418 Å
Structure: DFT lattice parameters and positions (PBE)
Lines closer than 0.1° are merged.

Crystal structure
abc: 7.925 7.925 7.925
angles: 93.65 93.65 93.65
Sites, in units of the cell vectors:
Ho: 0.045 0.699 0.927
Ho: 0.073 0.955 0.301
Ho: 0.187 0.535 0.410
Ho: 0.301 0.073 0.955
Ho: 0.410 0.187 0.535
Ho: 0.465 0.590 0.813
Ho: 0.535 0.410 0.187
Ho: 0.590 0.813 0.465
Ho: 0.699 0.927 0.045
Ho: 0.813 0.465 0.590
Ho: 0.927 0.045 0.699
Ho: 0.955 0.301 0.073
Zn: 0.150 0.358 0.760
Zn: 0.240 0.850 0.642
Zn: 0.358 0.760 0.150
Zn: 0.642 0.240 0.850
Zn: 0.760 0.150 0.358
Zn: 0.850 0.642 0.240
Co: 0.500 0.500 0.500

The 10 most intense peaks (10 to 80 degrees two-theta), by intensity:
2θ/deg, I/Imax
37.6, 100.0
33.0, 98.0
29.3, 71.7
36.7, 39.3
35.2, 36.5
24.5, 36.4
30.9, 28.0
42.6, 20.0
51.3, 18.4
61.8, 18.3